1.
Structure and theoretical X-ray diffraction stick pattern of Na5B8C2 (DFT lattice parameters and positions (GGA-PBE); Cu Kα (λ = 1.5418 Å)).
Neutral-atom scattering factors, no anomalous dispersion.

Peak list (10 most intense, 10° ≤ 2θ ≤ 90°, in order of rising 2θ)
| 2θ/deg | I (rel.) |
| --- | --- |
| 34.08 | 15 |
| 36.03 | 19 |
| 40.11 | 56 |
| 41.76 | 100 |
| 41.83 | 57 |
| 56.27 | 11 |
| 62.28 | 20 |
| 76.21 | 15 |
| 77.71 | 9 |
| 77.84 | 9 |

Crystal structure
a = 9.1575 Å, b = 9.1575 Å, c = 13.6404 Å
α = 112.33°, β = 112.33°, γ = 17.78°
Element x y z (fractional)
Na (0.0000, 0.0000, 0.0000)
Na (0.0001, 0.0001, 0.4950)
Na (0.2001, 0.2001, 0.3952)
Na (0.2018, 0.2018, 0.8974)
Na (0.4002, 0.4002, 0.2966)
Na (0.3999, 0.3999, 0.7955)
Na (0.5999, 0.5999, 0.6958)
Na (0.6007, 0.6007, 0.1994)
Na (0.8002, 0.8002, 0.0981)
Na (0.8009, 0.8009, 0.5926)
B (0.0354, 0.0354, 0.3168)
B (0.0353, 0.0353, 0.8159)
B (0.1701, 0.1701, 0.0879)
B (0.2268, 0.2268, 0.6972)
B (0.3584, 0.3584, 0.4625)
B (0.3681, 0.3681, 0.9844)
B (0.4277, 0.4277, 0.5992)
B (0.4310, 0.4310, 0.1102)
B (0.5728, 0.5728, 0.3905)
B (0.5790, 0.5790, 0.9046)
B (0.6391, 0.6391, 0.5212)
B (0.7636, 0.7636, 0.2743)
B (0.7655, 0.7655, 0.7766)
B (0.8275, 0.8275, 0.9019)
B (0.9705, 0.9705, 0.1884)
B (0.9711, 0.9711, 0.6864)
C (0.1684, 0.1684, 0.5789)
C (0.2323, 0.2323, 0.2117)
C (0.6381, 0.6381, 0.0236)
C (0.8268, 0.8268, 0.4003)

2.
Structure and theoretical X-ray diffraction stick pattern of Na10B13C7 (DFT lattice parameters and positions (GGA-PBE); Cu Kα (λ = 1.5418 Å)).
Neutral-atom scattering factors, no anomalous dispersion.

Peak list (10 most intense, 10° ≤ 2θ ≤ 90°, in order of rising 2θ)
| 2θ/deg | I (rel.) |
| --- | --- |
| 35.49 | 10 |
| 36.27 | 18 |
| 41.54 | 51 |
| 42.22 | 100 |
| 42.51 | 38 |
| 57.08 | 10 |
| 64.23 | 17 |
| 77.59 | 13 |
| 80.09 | 8 |
| 80.83 | 11 |

Crystal structure
a = 11.4854 Å, b = 11.4854 Å, c = 9.8989 Å
α = 107.38°, β = 107.38°, γ = 14.21°
Element x y z (fractional)
Na (0.0000, 0.0000, 0.0000)
Na (0.0996, 0.0996, 0.6970)
Na (0.1994, 0.1994, 0.3971)
Na (0.3005, 0.3005, 0.0967)
Na (0.3991, 0.3991, 0.8010)
Na (0.5002, 0.5002, 0.4984)
Na (0.6001, 0.6001, 0.1969)
Na (0.6990, 0.6990, 0.8977)
Na (0.7999, 0.7999, 0.5967)
Na (0.8998, 0.8998, 0.2998)
B (0.0835, 0.0835, 0.4160)
B (0.1110, 0.1110, 0.9705)
B (0.1802, 0.1802, 0.1100)
B (0.2770, 0.2770, 0.8025)
B (0.3139, 0.3139, 0.3758)
B (0.3831, 0.3831, 0.5133)
B (0.4868, 0.4868, 0.2216)
B (0.5161, 0.5161, 0.7817)
B (0.6805, 0.6805, 0.6097)
B (0.7193, 0.7193, 0.1873)
B (0.8173, 0.8173, 0.8837)
B (0.8892, 0.8892, 0.0269)
B (0.9225, 0.9225, 0.5933)
C (0.0186, 0.0186, 0.2847)
C (0.2129, 0.2129, 0.6743)
C (0.4210, 0.4210, 0.0904)
C (0.5803, 0.5803, 0.9092)
C (0.6153, 0.6153, 0.4807)
C (0.7827, 0.7827, 0.3137)
C (0.9850, 0.9850, 0.7194)

3.
Structure and theoretical X-ray diffraction stick pattern of Na5B8C2 (DFT lattice parameters and positions (GGA-PBE); Cu Kα (λ = 1.5418 Å)).
Neutral-atom scattering factors, no anomalous dispersion.

Peak list (10 most intense, 10° ≤ 2θ ≤ 90°, in order of rising 2θ)
| 2θ/deg | I (rel.) |
| --- | --- |
| 34.04 | 13 |
| 36.06 | 17 |
| 40.07 | 50 |
| 41.73 | 38 |
| 41.84 | 100 |
| 56.31 | 10 |
| 62.24 | 17 |
| 76.25 | 13 |
| 77.75 | 17 |
| 80.20 | 10 |

Crystal structure
a = 8.6589 Å, b = 13.2454 Å, c = 13.2454 Å
α = 12.25°, β = 90.00°, γ = 90.00°
Element x y z (fractional)
Na (0.2474, 0.0000, 0.0000)
Na (0.2487, 0.4001, 0.4001)
Na (0.2497, 0.6018, 0.6018)
Na (0.2502, 0.8018, 0.8018)
Na (0.2528, 0.2026, 0.2026)
Na (0.7472, 0.2026, 0.2026)
Na (0.7503, 0.6018, 0.6018)
Na (0.7498, 0.8018, 0.8018)
Na (0.7513, 0.4001, 0.4001)
Na (0.7526, 0.0000, 0.0000)
B (0.0000, 0.0736, 0.0736)
B (0.0000, 0.1363, 0.1363)
B (0.0000, 0.2636, 0.2636)
B (0.0000, 0.3291, 0.3291)
B (0.0000, 0.4696, 0.4696)
B (0.0000, 0.5326, 0.5326)
B (0.0000, 0.6756, 0.6756)
B (0.0000, 0.8660, 0.8660)
B (0.0000, 0.9305, 0.9305)
B (0.5000, 0.0664, 0.0664)
B (0.5000, 0.1314, 0.1314)
B (0.5000, 0.3377, 0.3377)
B (0.5000, 0.5225, 0.5225)
B (0.5000, 0.6747, 0.6747)
B (0.5000, 0.7434, 0.7434)
B (0.5000, 0.9309, 0.9309)
C (0.0000, 0.7346, 0.7346)
C (0.5000, 0.2745, 0.2745)
C (0.5000, 0.4629, 0.4629)
C (0.5000, 0.8689, 0.8689)

4.
Structure and theoretical X-ray diffraction stick pattern of Na5B8C2 (DFT lattice parameters and positions (GGA-PBE); Cu Kα (λ = 1.5418 Å)).
Neutral-atom scattering factors, no anomalous dispersion.

Peak list (10 most intense, 10° ≤ 2θ ≤ 90°, in order of rising 2θ)
| 2θ/deg | I (rel.) |
| --- | --- |
| 33.95 | 14 |
| 36.12 | 17 |
| 39.99 | 49 |
| 41.71 | 38 |
| 41.89 | 100 |
| 56.34 | 10 |
| 62.18 | 17 |
| 76.26 | 13 |
| 77.63 | 8 |
| 80.34 | 9 |

Crystal structure
a = 11.8123 Å, b = 11.8123 Å, c = 10.1519 Å
α = 106.06°, β = 106.06°, γ = 13.71°
Element x y z (fractional)
Na (0.0000, 0.0000, 0.0000)
Na (0.0992, 0.0992, 0.6954)
Na (0.1997, 0.1997, 0.3998)
Na (0.3010, 0.3010, 0.1022)
Na (0.4007, 0.4007, 0.8008)
Na (0.5000, 0.5000, 0.5000)
Na (0.5993, 0.5993, 0.1992)
Na (0.6990, 0.6990, 0.8978)
Na (0.8003, 0.8003, 0.6002)
Na (0.9008, 0.9008, 0.3046)
B (0.0169, 0.0169, 0.2859)
B (0.1137, 0.1137, 0.9786)
B (0.1766, 0.1766, 0.1044)
B (0.2162, 0.2162, 0.6823)
B (0.2800, 0.2800, 0.8091)
B (0.3245, 0.3245, 0.3986)
B (0.3915, 0.3915, 0.5314)
B (0.4273, 0.4273, 0.1051)
B (0.5727, 0.5727, 0.8949)
B (0.6085, 0.6085, 0.4686)
B (0.6755, 0.6755, 0.6014)
B (0.7200, 0.7200, 0.1909)
B (0.7838, 0.7838, 0.3177)
B (0.8234, 0.8234, 0.8956)
B (0.8863, 0.8863, 0.0214)
B (0.9831, 0.9831, 0.7141)
C (0.0780, 0.0780, 0.4086)
C (0.4861, 0.4861, 0.2241)
C (0.5139, 0.5139, 0.7759)
C (0.9220, 0.9220, 0.5914)